# Li2FeO3
Simulated X-ray diffraction stick pattern, CuKα. Input: DFT lattice parameters and positions (GGA+U).

The 10 most intense peaks (10° ≤ 2θ ≤ 90°), in order of rising 2θ:
2theta  d/Å  I (rel.)  (hkl)
18.43  4.813  100  0 0 1
19.92  4.458  18  0 2 0
21.16  4.200  38  1 1 0
24.08  3.696  26  1 1 -1
27.27  3.271  15  0 2 1
35.61  2.521  30  1 3 0
43.12  2.098  77  1 3 1
44.62  2.031  32  2 0 -2
63.50  1.465  18  1 3 -3
64.08  1.453  20  3 3 -1

Atomic structure:
Lattice parameters (Å, degrees): 5.000 8.916 5.055 90.00 107.79 90.00
Space group C2/m (No. 12)
Asymmetric unit:
Li: 0.000 0.000 0.000
Li: 0.000 0.158 0.500
Li: 0.000 0.500 0.500
Fe: 0.000 0.336 0.000
O: 0.230 0.500 0.236
O: 0.235 0.323 0.774

***

# Sr2MgTiMoO6
Simulated X-ray diffraction stick pattern, CuKα. Input: DFT lattice parameters and positions (GGA+U).

The 10 most intense peaks (10° ≤ 2θ ≤ 90°), in order of rising 2θ:
2theta  d/Å  I (rel.)  (hkl)
18.23  4.866  63  0 1 0
29.39  3.039  64  1 -1 1
29.58  3.020  50  1 1 0
29.97  2.982  92  1 1 -2
30.63  2.918  100  0 2 -1
31.03  2.882  100  2 0 -1
34.50  2.600  66  1 0 -2
43.99  2.058  71  2 -2 0
44.34  2.043  67  2 2 -2
46.46  1.955  42  1 2 0

Atomic structure:
Lattice parameters (Å, degrees): 5.765 5.837 5.979 119.13 117.52 90.44
Space group P-1 (No. 2)
Asymmetric unit:
Sr: 0.194 0.159 0.368
Mg: 0.500 0.500 0.000
Ti: 0.000 0.500 0.000
Mo: 0.500 0.000 0.000
O: 0.214 0.685 0.912
O: 0.243 0.257 0.997
O: 0.293 0.792 0.487

***

# SrCaCeFeO6
Simulated X-ray diffraction stick pattern, CuKα. Input: DFT lattice parameters and positions (GGA+U).

The 10 most intense peaks (10° ≤ 2θ ≤ 90°), in order of rising 2θ:
2theta  d/Å  I (rel.)  (hkl)
18.62  4.764  17  1 1 1
21.54  4.126  15  2 0 0
30.64  2.917  100  2 2 0
36.10  2.488  13  3 1 1
43.89  2.063  37  4 0 0
48.06  1.893  7  3 3 1
54.48  1.684  39  4 2 2
63.81  1.459  22  4 4 0
72.44  1.305  17  6 2 0
88.71  1.103  20  6 4 2

Atomic structure:
Lattice parameters (Å, degrees): 8.252 8.252 8.252 90.00 90.00 90.00
Space group F-43m (No. 216)
Asymmetric unit:
Sr: 0.000 0.000 0.000
Ca: 0.000 0.000 0.500
Ce: 0.250 0.250 0.250
Fe: 0.250 0.250 0.750
O: 0.013 0.250 0.750

***

# Sr3NbCoO7
Simulated X-ray diffraction stick pattern, CuKα. Input: DFT lattice parameters and positions (GGA+U).

The 10 most intense peaks (10° ≤ 2θ ≤ 90°), in order of rising 2θ:
2theta  d/Å  I (rel.)  (hkl)
30.71  2.912  100  0 1 5
31.81  2.813  65  1 1 0
42.30  2.136  14  0 0 10
44.44  2.038  11  0 1 -9
45.53  1.992  20  0 2 0
45.68  1.986  20  2 0 0
53.86  1.702  11  -1 1 10
55.91  1.645  14  -1 2 5
56.02  1.642  18  1 2 5
63.91  1.457  11  2 0 -10

Atomic structure:
Lattice parameters (Å, degrees): 3.972 3.984 21.364 90.00 90.12 90.14
Space group P1 (No. 1)
Asymmetric unit:
Sr: 0.000 0.000 0.000
Sr: 0.003 0.001 0.836
Sr: 0.009 0.000 0.210
Sr: 0.506 0.504 0.497
Sr: 0.509 0.502 0.709
Sr: 0.514 0.496 0.337
Nb: 0.008 0.002 0.616
Nb: 0.507 0.500 0.115
Co: 0.009 0.001 0.412
Co: 0.490 0.499 0.910
O: 0.004 0.005 0.319
O: 0.008 0.503 0.421
O: 0.009 0.001 0.527
O: 0.009 0.501 0.119
O: 0.009 0.501 0.622
O: 0.012 0.001 0.716
O: 0.013 0.502 0.921
O: 0.507 0.001 0.422
O: 0.509 0.001 0.622
O: 0.509 0.002 0.921
O: 0.510 0.001 0.119
O: 0.510 0.501 0.024
O: 0.510 0.501 0.212
O: 0.526 0.503 0.821

***

# Li3MnP2O8
Simulated X-ray diffraction stick pattern, CuKα. Input: DFT lattice parameters and positions (GGA+U).

The 10 most intense peaks (10° ≤ 2θ ≤ 90°), in order of rising 2θ:
2theta  d/Å  I (rel.)  (hkl)
12.30  7.193  70  1 0 0
22.81  3.899  100  -1 1 1
24.92  3.573  71  1 2 -1
25.23  3.529  77  1 -1 2
30.39  2.942  36  -2 1 1
30.99  2.885  25  2 1 -2
33.34  2.687  21  2 2 -1
36.19  2.482  14  0 0 3
36.79  2.443  22  1 0 -3
40.11  2.248  18  1 3 0

Atomic structure:
Lattice parameters (Å, degrees): 7.256 8.393 8.577 118.91 95.47 91.90
Space group P-1 (No. 2)
Asymmetric unit:
Li: 0.000 0.000 0.000
Li: 0.018 0.324 0.676
Li: 0.145 0.036 0.339
Li: 0.180 0.645 0.680
Li: 0.203 0.305 0.967
Mn: 0.453 0.333 0.655
Mn: 0.500 0.000 0.000
P: 0.237 0.359 0.316
P: 0.251 0.692 0.039
P: 0.280 0.969 0.651
O: 0.059 0.448 0.303
O: 0.075 0.770 0.130
O: 0.093 0.851 0.589
O: 0.212 0.151 0.194
O: 0.226 0.489 0.896
O: 0.256 0.125 0.599
O: 0.281 0.409 0.519
O: 0.309 0.799 0.938
O: 0.318 0.069 0.863
O: 0.397 0.434 0.252
O: 0.410 0.732 0.189
O: 0.440 0.853 0.578

***

Q: What is the formula in the fourth record?
A: Sr3NbCoO7